Starting from DFT lattice parameters and positions (GGA+U), the powder X-ray diffraction pattern of Na3CoF6 was simulated for copper Kα.

Peak list (10 most intense, 2θ from 10° to 90°, by angle)
2θ (°)	I_rel
18.77	55
21.70	74
30.88	88
38.06	21
44.24	100
49.79	24
54.92	32
64.35	52
73.07	15
89.57	16

Structural model:
a = 5.7910 Å, b = 5.7910 Å, c = 5.7910 Å
α = 60.00°, β = 60.00°, γ = 60.00°
Atoms (fractional coordinates):
Na1 0.0000 0.0000 0.0000
Na2 0.2500 0.2500 0.2500
Na3 0.7500 0.7500 0.7500
Co1 0.5000 0.5000 0.5000
F1 0.2661 0.2661 0.7339
F2 0.2661 0.7339 0.2661
F3 0.2661 0.7339 0.7339
F4 0.7339 0.2661 0.2661
F5 0.7339 0.2661 0.7339
F6 0.7339 0.7339 0.2661

Starting from DFT lattice parameters and positions (GGA+U), the powder X-ray diffraction pattern of Li4Ti3Co3O12 was simulated for copper Kα.

Peak list (10 most intense, 2θ from 10° to 90°, by angle)
2θ (°)	I_rel
17.93	100
35.13	25
35.86	11
41.95	23
42.77	22
43.49	20
61.16	6
61.77	6
62.58	6
63.05	6

Structural model:
a = 7.9447 Å, b = 7.9513 Å, c = 8.3273 Å
α = 73.78°, β = 75.70°, γ = 65.66°
Atoms (fractional coordinates):
Li1 0.0000 0.0000 0.0000
Li2 0.1462 0.1887 0.1370
Li3 0.2517 0.7469 0.2520
Li4 0.3410 0.3202 0.3501
Li5 0.5000 0.5000 0.5000
Li6 0.6590 0.6798 0.6499
Li7 0.7483 0.2531 0.7480
Li8 0.8538 0.8113 0.8630
Ti1 0.0680 0.5783 0.6036
Ti2 0.2550 0.7540 0.7380
Ti3 0.4262 0.9112 0.9103
Ti4 0.5738 0.0888 0.0897
Ti5 0.7450 0.2460 0.2620
Ti6 0.9320 0.4217 0.3964
Co1 0.0000 0.0000 0.5000
Co2 0.1656 0.1647 0.6677
Co3 0.3375 0.3341 0.8324
Co4 0.5000 0.5000 0.0000
Co5 0.6625 0.6659 0.1677
Co6 0.8344 0.8353 0.3323
O1 0.0235 0.9828 0.7493
O2 0.0739 0.5815 0.3520
O3 0.0987 0.5920 0.8163
O4 0.1476 0.1891 0.4370
O5 0.1959 0.1475 0.8945
O6 0.2310 0.7409 0.5166
O7 0.2739 0.7580 0.9825
O8 0.3042 0.3530 0.6032
O9 0.3456 0.3106 0.0669
O10 0.4052 0.9070 0.6825
O11 0.4288 0.9137 0.1467
O12 0.4792 0.5148 0.7519
O13 0.5208 0.4852 0.2481
O14 0.5712 0.0863 0.8533
O15 0.5948 0.0930 0.3175
O16 0.6544 0.6894 0.9331
O17 0.6958 0.6470 0.3968
O18 0.7261 0.2420 0.0175
O19 0.7690 0.2591 0.4834
O20 0.8041 0.8525 0.1055
O21 0.8524 0.8109 0.5630
O22 0.9013 0.4080 0.1837
O23 0.9261 0.4185 0.6480
O24 0.9765 0.0172 0.2507

Starting from DFT lattice parameters and positions (GGA+U), the powder X-ray diffraction pattern of Mn15O32 was simulated for copper Kα.

Peak list (10 most intense, 2θ from 10° to 90°, by angle)
2θ (°)	I_rel
18.67	100
36.08	10
36.19	13
36.31	11
43.90	34
44.21	16
48.24	7
58.06	6
58.50	5
64.06	21

Structural model:
a = 5.8137 Å, b = 5.8137 Å, c = 19.3693 Å
α = 99.07°, β = 99.07°, γ = 60.04°
Atoms (fractional coordinates):
Mn1 0.0000 0.0000 0.0000
Mn2 0.0000 0.5000 0.0000
Mn3 0.0000 0.5000 0.5000
Mn4 0.1234 0.1234 0.8748
Mn5 0.2477 0.2477 0.7498
Mn6 0.2476 0.7468 0.7495
Mn7 0.2532 0.7524 0.2505
Mn8 0.3711 0.3711 0.6243
Mn9 0.5000 0.0000 0.0000
Mn10 0.5000 0.0000 0.5000
Mn11 0.6289 0.6289 0.3757
Mn12 0.7468 0.2476 0.7495
Mn13 0.7524 0.2532 0.2505
Mn14 0.7523 0.7523 0.2502
Mn15 0.8766 0.8766 0.1252
O1 0.0462 0.0462 0.1917
O2 0.0455 0.6057 0.1912
O3 0.0627 0.0627 0.6983
O4 0.0992 0.5403 0.6915
O5 0.1474 0.7073 0.0589
O6 0.1759 0.6520 0.5663
O7 0.1848 0.1848 0.0514
O8 0.2012 0.2012 0.5580
O9 0.2935 0.2935 0.9414
O10 0.2927 0.8526 0.9411
O11 0.3083 0.3083 0.4501
O12 0.3480 0.8241 0.4337
O13 0.3943 0.9545 0.8088
O14 0.4325 0.4325 0.8012
O15 0.4589 0.4589 0.3088
O16 0.4597 0.9008 0.3085
O17 0.5403 0.0992 0.6915
O18 0.5411 0.5411 0.6912
O19 0.5675 0.5675 0.1988
O20 0.6057 0.0455 0.1912
O21 0.6520 0.1759 0.5663
O22 0.6917 0.6917 0.5499
O23 0.7073 0.1474 0.0589
O24 0.7065 0.7065 0.0586
O25 0.7988 0.7988 0.4420
O26 0.8152 0.8152 0.9486
O27 0.8241 0.3480 0.4337
O28 0.8526 0.2927 0.9411
O29 0.9008 0.4597 0.3085
O30 0.9373 0.9373 0.3017
O31 0.9545 0.3943 0.8088
O32 0.9538 0.9538 0.8083

Starting from DFT lattice parameters and positions (GGA+U), the powder X-ray diffraction pattern of ZnFe2O4 was simulated for copper Kα.

Peak list (10 most intense, 2θ from 10° to 90°, by angle)
2θ (°)	I_rel
17.95	8
29.52	30
34.77	100
36.37	9
42.25	18
55.82	34
61.23	22
61.34	22
72.39	8
87.52	11

Structural model:
a = 6.0458 Å, b = 6.0458 Å, c = 6.0458 Å
α = 60.10°, β = 60.10°, γ = 60.10°
Atoms (fractional coordinates):
Zn1 0.0000 0.0000 0.0000
Zn2 0.3775 0.3775 0.3775
Fe1 0.3766 0.3766 0.8843
Fe2 0.3766 0.8843 0.3766
Fe3 0.7567 0.7567 0.7567
Fe4 0.8843 0.3766 0.3766
O1 0.1318 0.1318 0.5979
O2 0.1318 0.5979 0.1318
O3 0.1367 0.1367 0.1367
O4 0.1486 0.6262 0.6262
O5 0.5979 0.1318 0.1318
O6 0.6223 0.6223 0.6223
O7 0.6262 0.1486 0.6262
O8 0.6262 0.6262 0.1486

Starting from DFT lattice parameters and positions (GGA+U), the powder X-ray diffraction pattern of LiFeF4 was simulated for copper Kα.

Peak list (10 most intense, 2θ from 10° to 90°, by angle)
2θ (°)	I_rel
14.28	76
17.07	100
26.67	68
27.15	97
27.77	29
38.06	50
44.57	47
45.73	37
60.96	22
65.76	23

Structural model:
a = 6.5692 Å, b = 3.9685 Å, c = 12.3989 Å
α = 90.00°, β = 109.21°, γ = 90.00°
Atoms (fractional coordinates):
Li1 0.1457 0.0094 0.1088
Li2 0.1457 0.4906 0.6088
Li3 0.8543 0.5094 0.3912
Li4 0.8543 0.9906 0.8912
Fe1 0.3498 0.2481 0.8872
Fe2 0.3498 0.2519 0.3872
Fe3 0.6502 0.7481 0.6128
Fe4 0.6502 0.7519 0.1128
F1 0.1352 0.2087 0.9618
F2 0.1352 0.2913 0.4618
F3 0.1536 0.2489 0.7409
F4 0.1536 0.2511 0.2409
F5 0.3986 0.7437 0.6510
F6 0.3986 0.7563 0.1510
F7 0.4036 0.7436 0.9289
F8 0.4036 0.7564 0.4289
F9 0.5964 0.2436 0.5711
F10 0.5964 0.2564 0.0711
F11 0.6014 0.2437 0.8490
F12 0.6014 0.2563 0.3490
F13 0.8464 0.7489 0.7591
F14 0.8464 0.7511 0.2591
F15 0.8648 0.7087 0.5382
F16 0.8648 0.7913 0.0382

Starting from DFT lattice parameters and positions (GGA+U), the powder X-ray diffraction pattern of LiTiNiO4 was simulated for copper Kα.

Peak list (10 most intense, 2θ from 10° to 90°, by angle)
2θ (°)	I_rel
18.43	100
34.59	14
35.75	9
36.60	16
41.60	22
43.58	18
44.91	17
62.02	6
62.87	11
64.36	10

Structural model:
a = 5.7923 Å, b = 5.7923 Å, c = 5.9910 Å
α = 119.61°, β = 119.61°, γ = 88.37°
Atoms (fractional coordinates):
Li1 0.1190 0.8810 0.7500
Li2 0.8810 0.1190 0.2500
Ti1 0.5000 0.5000 0.0000
Ti2 0.5000 0.5000 0.5000
Ni1 0.0000 0.5000 0.0000
Ni2 0.5000 0.0000 0.5000
O1 0.2478 0.7249 0.0085
O2 0.2685 0.2896 0.0357
O3 0.2751 0.7522 0.4915
O4 0.2896 0.2685 0.5357
O5 0.7104 0.7315 0.4643
O6 0.7249 0.2478 0.5085
O7 0.7315 0.7104 0.9643
O8 0.7522 0.2751 0.9915

Starting from DFT lattice parameters and positions (GGA+U), the powder X-ray diffraction pattern of Ca4Mn6Si5O28 was simulated for copper Kα.

Peak list (10 most intense, 2θ from 10° to 90°, by angle)
2θ (°)	I_rel
18.06	40
18.26	33
22.26	100
27.30	37
32.66	36
34.21	56
34.53	77
37.00	38
54.89	51
59.80	38

Structural model:
a = 19.6508 Å, b = 5.3377 Å, c = 5.3377 Å
α = 69.98°, β = 90.00°, γ = 90.00°
Atoms (fractional coordinates):
Ca1 0.0875 0.0000 0.0000
Ca2 0.3988 0.3893 0.3893
Ca3 0.6012 0.3893 0.3893
Ca4 0.9125 0.0000 0.0000
Mn1 0.2486 0.1926 0.6963
Mn2 0.2486 0.6963 0.1926
Mn3 0.5000 0.3809 0.9028
Mn4 0.5000 0.9028 0.3809
Mn5 0.7514 0.1926 0.6963
Mn6 0.7514 0.6963 0.1926
Si1 0.0000 0.5939 0.5939
Si2 0.1513 0.6623 0.6623
Si3 0.3481 0.7235 0.7235
Si4 0.6519 0.7235 0.7235
Si5 0.8487 0.6623 0.6623
O1 0.0000 0.2702 0.7373
O2 0.0000 0.7373 0.2702
O3 0.0692 0.7120 0.7120
O4 0.0696 0.2785 0.2785
O5 0.1672 0.3450 0.7914
O6 0.1672 0.7914 0.3450
O7 0.1940 0.8274 0.8274
O8 0.2210 0.3316 0.3316
O9 0.2777 0.0582 0.0582
O10 0.3016 0.5629 0.5629
O11 0.3315 0.0381 0.6020
O12 0.3315 0.6020 0.0381
O13 0.4298 0.6615 0.6615
O14 0.4386 0.1394 0.1394
O15 0.5000 0.2033 0.6171
O16 0.5000 0.6171 0.2033
O17 0.5614 0.1394 0.1394
O18 0.5702 0.6615 0.6615
O19 0.6685 0.0381 0.6020
O20 0.6685 0.6020 0.0381
O21 0.6984 0.5629 0.5629
O22 0.7223 0.0582 0.0582
O23 0.7790 0.3316 0.3316
O24 0.8060 0.8274 0.8274
O25 0.8328 0.3450 0.7914
O26 0.8328 0.7914 0.3450
O27 0.9304 0.2785 0.2785
O28 0.9308 0.7120 0.7120